Structure and theoretical XRD peak list of Sc3TiPd12 (a crystal structure in Alexandria, relaxed with PBE; copper Kα).
No peak broadening, texture or thermal motion is included.

Crystal structure
```
Sc3TiPd12
1.0
3.991 0.000 0.000
0.000 3.991 0.000
0.000 0.000 15.919
Sc Ti Pd
3 1 12
Direct
0.000 0.000 0.000
0.000 0.000 0.252
0.000 0.000 0.748
0.000 0.000 0.500
0.000 0.500 0.127
0.000 0.500 0.381
0.000 0.500 0.619
0.000 0.500 0.873
0.500 0.000 0.127
0.500 0.000 0.381
0.500 0.000 0.619
0.500 0.000 0.873
0.500 0.500 0.000
0.500 0.500 0.254
0.500 0.500 0.500
0.500 0.500 0.746
```

Largest 10 diffraction maxima, sorted by position, 2θ = 10–90°:
22.29 deg, intensity 9; 31.74 deg, intensity 8; 39.13 deg, intensity 100; 45.45 deg, intensity 33; 45.59 deg, intensity 16; 66.23 deg, intensity 10; 66.34 deg, intensity 20; 79.70 deg, intensity 24; 79.90 deg, intensity 11; 84.09 deg, intensity 10

Structure and theoretical XRD peak list of NaLi2SeO4 (a crystal structure in Alexandria, relaxed with PBE; copper Kα).
No peak broadening, texture or thermal motion is included.

Crystal structure
```
NaLi2SeO4
1.0
4.368 -4.382 0.000
4.368 4.382 0.000
-4.140 0.000 5.161
Na Li Se O
2 4 2 8
Direct
0.033 0.033 0.288
0.967 0.967 0.712
0.106 0.500 0.804
0.500 0.894 0.196
0.505 0.448 0.202
0.552 0.495 0.798
0.023 0.502 0.174
0.498 0.977 0.826
0.214 0.300 0.225
0.237 0.715 0.201
0.285 0.763 0.799
0.304 0.230 0.765
0.658 0.157 0.162
0.700 0.786 0.775
0.770 0.696 0.235
0.843 0.342 0.838
```

Largest 10 diffraction maxima, sorted by position, 2θ = 10–90°:
16.94 deg, intensity 100; 17.18 deg, intensity 30; 20.31 deg, intensity 46; 26.69 deg, intensity 20; 29.31 deg, intensity 29; 30.12 deg, intensity 25; 33.27 deg, intensity 38; 33.96 deg, intensity 25; 34.77 deg, intensity 30; 41.21 deg, intensity 27

Structure and theoretical XRD peak list of Sr12TlZn6 (a crystal structure in Alexandria, relaxed with PBE; copper Kα).
No peak broadening, texture or thermal motion is included.

Crystal structure
```
Sr12TlZn6
1.0
-5.632 5.632 5.632
5.632 -5.632 5.632
5.632 5.632 -5.632
Sr Tl Zn
12 1 6
Direct
0.108 0.293 0.815
0.185 0.478 0.293
0.185 0.892 0.707
0.293 0.185 0.478
0.293 0.815 0.108
0.478 0.293 0.185
0.522 0.707 0.815
0.707 0.185 0.892
0.707 0.815 0.522
0.815 0.108 0.293
0.815 0.522 0.707
0.892 0.707 0.185
0.000 0.000 0.000
0.116 0.500 0.616
0.384 0.884 0.500
0.500 0.384 0.884
0.500 0.616 0.116
0.616 0.116 0.500
0.884 0.500 0.384
```

Largest 10 diffraction maxima, sorted by position, 2θ = 10–90°:
15.73 deg, intensity 15; 25.00 deg, intensity 14; 27.43 deg, intensity 43; 29.67 deg, intensity 100; 31.78 deg, intensity 21; 33.76 deg, intensity 17; 40.85 deg, intensity 28; 47.04 deg, intensity 23; 49.91 deg, intensity 26; 57.89 deg, intensity 21

Structure and theoretical XRD peak list of KCrIn2Cl6 (a crystal structure in Alexandria, relaxed with PBE; copper Kα).
No peak broadening, texture or thermal motion is included.

Crystal structure
```
KCrIn2Cl6
1.0
6.899 0.000 0.000
0.000 8.117 0.000
-6.540 0.000 10.507
K Cr In Cl
2 2 4 12
Direct
0.000 0.000 0.000
0.000 0.500 0.500
0.500 0.000 0.500
0.500 0.500 0.000
0.204 0.063 0.730
0.204 0.437 0.230
0.796 0.563 0.770
0.796 0.937 0.270
0.191 0.155 0.481
0.191 0.345 0.981
0.270 0.741 0.932
0.270 0.759 0.432
0.377 0.062 0.286
0.377 0.438 0.786
0.623 0.562 0.214
0.623 0.938 0.714
0.730 0.241 0.568
0.730 0.259 0.068
0.809 0.655 0.019
0.809 0.845 0.519
```

Largest 10 diffraction maxima, sorted by position, 2θ = 10–90°:
13.79 deg, intensity 52; 21.90 deg, intensity 37; 23.63 deg, intensity 77; 24.27 deg, intensity 78; 25.84 deg, intensity 34; 27.77 deg, intensity 36; 30.49 deg, intensity 37; 34.13 deg, intensity 100; 36.58 deg, intensity 50; 44.56 deg, intensity 31

Structure and theoretical XRD peak list of NaTe2Cl6 (a crystal structure in Alexandria, relaxed with PBE; copper Kα).
No peak broadening, texture or thermal motion is included.

Crystal structure
```
NaTe2Cl6
1.0
7.044 -6.681 0.000
7.044 6.681 0.000
-0.583 0.000 6.387
Na Te Cl
2 4 12
Direct
0.103 0.897 0.750
0.897 0.103 0.250
0.093 0.416 0.782
0.416 0.093 0.282
0.584 0.907 0.718
0.907 0.584 0.218
0.048 0.187 0.936
0.129 0.628 0.561
0.187 0.048 0.436
0.291 0.462 0.007
0.372 0.871 0.939
0.462 0.291 0.507
0.538 0.709 0.493
0.628 0.129 0.061
0.709 0.538 0.993
0.813 0.952 0.564
0.871 0.372 0.439
0.952 0.813 0.064
```

Largest 10 diffraction maxima, sorted by position, 2θ = 10–90°:
12.62 deg, intensity 100; 18.34 deg, intensity 28; 19.23 deg, intensity 81; 22.35 deg, intensity 80; 23.76 deg, intensity 53; 24.86 deg, intensity 28; 31.00 deg, intensity 25; 31.84 deg, intensity 46; 36.28 deg, intensity 35; 48.42 deg, intensity 26

Structure and theoretical XRD peak list of LaTb2DyEr2 (a crystal structure in Alexandria, relaxed with PBE; copper Kα).
No peak broadening, texture or thermal motion is included.

Crystal structure
```
LaTb2DyEr2
1.0
6.940 0.000 0.000
0.000 16.107 0.000
0.000 0.000 3.534
La Tb Dy Er
2 4 2 4
Direct
0.000 0.000 0.000
0.500 0.500 0.500
0.248 0.341 0.000
0.252 0.841 0.500
0.748 0.159 0.500
0.752 0.659 0.000
0.000 0.500 0.500
0.500 0.000 0.000
0.250 0.156 0.500
0.250 0.656 0.000
0.750 0.344 0.000
0.750 0.844 0.500
```

Largest 10 diffraction maxima, sorted by position, 2θ = 10–90°:
28.00 deg, intensity 43; 30.28 deg, intensity 100; 33.38 deg, intensity 36; 34.11 deg, intensity 46; 36.73 deg, intensity 58; 46.25 deg, intensity 14; 54.44 deg, intensity 29; 57.74 deg, intensity 14; 62.05 deg, intensity 26; 63.43 deg, intensity 15

Structure and theoretical XRD peak list of Er2Tm2Mg7 (a crystal structure in Alexandria, relaxed with PBE; copper Kα).
No peak broadening, texture or thermal motion is included.

Crystal structure
```
Er2Tm2Mg7
1.0
-2.625 7.178 3.895
2.625 -7.178 3.895
2.625 7.178 -3.895
Er Tm Mg
2 2 7
Direct
0.218 0.000 0.218
0.782 0.000 0.782
0.520 0.020 0.500
0.835 0.835 0.000
0.062 0.680 0.381
0.247 0.247 0.000
0.299 0.680 0.619
0.377 0.531 0.846
0.667 0.311 0.356
0.685 0.531 0.154
0.955 0.311 0.644
```

Largest 10 diffraction maxima, sorted by position, 2θ = 10–90°:
12.93 deg, intensity 19; 20.40 deg, intensity 85; 21.80 deg, intensity 22; 22.83 deg, intensity 18; 24.81 deg, intensity 22; 26.03 deg, intensity 15; 32.33 deg, intensity 70; 34.22 deg, intensity 100; 53.71 deg, intensity 17; 68.37 deg, intensity 15

Structure and theoretical XRD peak list of Hg2HCl2 (a crystal structure in Alexandria, relaxed with PBE; copper Kα).
No peak broadening, texture or thermal motion is included.

Crystal structure
```
Hg2HCl2
1.0
4.132 0.000 0.000
-1.965 3.754 0.000
-0.189 -2.030 8.191
Hg H Cl
2 1 2
Direct
0.233 0.102 0.363
0.767 0.898 0.637
0.500 0.000 0.500
0.106 0.701 0.811
0.894 0.299 0.189
```

Largest 10 diffraction maxima, sorted by position, 2θ = 10–90°:
10.80 deg, intensity 100; 24.43 deg, intensity 27; 25.49 deg, intensity 18; 26.25 deg, intensity 37; 29.12 deg, intensity 43; 30.65 deg, intensity 39; 31.55 deg, intensity 17; 35.18 deg, intensity 17; 36.05 deg, intensity 17; 43.83 deg, intensity 21